Structure and computed PXRD pattern of MnSbRh2 (a DFT-relaxed cell (GGA-PBE, the Materials Project); Cu Kα (λ = 1.5418 Å)).
Neutral-atom scattering factors, no anomalous dispersion.

Main lines, low angle first (2θ from 10° to 90°):
d 2.742, I = 14; d 2.341, I = 7; d 2.271, I = 100; d 2.106, I = 44; d 1.756, I = 8; d 1.565, I = 8; d 1.489, I = 14; d 1.348, I = 13; d 1.270, I = 7; d 1.256, I = 4; d 1.245, I = 28; d 1.136, I = 8

Cell and atoms:
Cell lengths 2.9779, 2.9779, 7.0221 Å; angles 90.00, 90.00, 90.00 degrees
Positions (direct):
Mn 0.0000 0.0000 0.0000
Sb 0.0000 0.0000 0.5000
Rh 0.5000 0.5000 0.2175
Rh 0.5000 0.5000 0.7825


Structure and computed PXRD pattern of CuS2N4O6 (a DFT-relaxed cell (GGA-PBE, the Materials Project); Cu Kα (λ = 1.5418 Å)).
Neutral-atom scattering factors, no anomalous dispersion.

Main lines, low angle first (2θ from 10° to 90°):
d 6.260, I = 54; d 5.557, I = 59; d 5.007, I = 98; d 4.796, I = 59; d 3.720, I = 20; d 3.462, I = 100; d 3.341, I = 29; d 3.101, I = 12; d 3.077, I = 46; d 2.970, I = 21; d 2.779, I = 38; d 2.475, I = 12

Cell and atoms:
Cell lengths 6.7577, 10.0145, 9.7549 Å; angles 90.00, 124.69, 90.00 degrees
Positions (direct):
Cu 0.0000 0.0000 0.0000
Cu 0.0000 0.5000 0.5000
S 0.2261 0.0493 0.7135
S 0.2261 0.4507 0.2135
S 0.7739 0.5493 0.7865
S 0.7739 0.9507 0.2865
N 0.2134 0.1024 0.1825
N 0.2134 0.3976 0.6825
N 0.2150 0.6372 0.5575
N 0.2150 0.8628 0.0575
N 0.7850 0.1372 0.9425
N 0.7850 0.3628 0.4425
N 0.7866 0.6024 0.3175
N 0.7866 0.8976 0.8175
O 0.0941 0.1201 0.7653
O 0.0941 0.3799 0.2653
O 0.2371 0.1024 0.5809
O 0.2371 0.3976 0.0809
O 0.3378 0.5762 0.2892
O 0.3378 0.9238 0.7892
O 0.6622 0.0762 0.2108
O 0.6622 0.4238 0.7108
O 0.7629 0.6024 0.9191
O 0.7629 0.8976 0.4191
O 0.9059 0.6201 0.7347
O 0.9059 0.8799 0.2347


Structure and computed PXRD pattern of Th6CBr14 (a DFT-relaxed cell (GGA-PBE, the Materials Project); Cu Kα (λ = 1.5418 Å)).
Neutral-atom scattering factors, no anomalous dispersion.

Main lines, low angle first (2θ from 10° to 90°):
d 8.400, I = 100; d 4.031, I = 20; d 3.123, I = 11; d 2.854, I = 10; d 2.815, I = 17; d 2.766, I = 40; d 2.634, I = 18; d 2.496, I = 10; d 2.424, I = 10; d 2.128, I = 10; d 2.081, I = 18; d 2.023, I = 10

Cell and atoms:
Cell lengths 10.8844, 10.8844, 13.3175 Å; angles 90.00, 90.00, 83.97 degrees
Positions (direct):
Th 0.0452 0.1862 0.8831
Th 0.1470 0.8530 0.8943
Th 0.1862 0.0452 0.1169
Th 0.3138 0.4548 0.6169
Th 0.3530 0.6470 0.3943
Th 0.4548 0.3138 0.3831
Th 0.5452 0.6862 0.6169
Th 0.6470 0.3530 0.6057
Th 0.6862 0.5452 0.3831
Th 0.8138 0.9548 0.8831
Th 0.8530 0.1470 0.1057
Th 0.9548 0.8138 0.1169
C 0.0000 0.0000 0.0000
C 0.5000 0.5000 0.5000
Br 0.0368 0.2144 0.2491
Br 0.0991 0.4009 0.7500
Br 0.1202 0.6296 0.0099
Br 0.1296 0.6202 0.5099
Br 0.1577 0.8423 0.2652
Br 0.2144 0.0368 0.7509
Br 0.2467 0.2467 0.5000
Br 0.2533 0.2533 0.0000
Br 0.2856 0.4632 0.2509
Br 0.3423 0.6577 0.7652
Br 0.3704 0.8798 0.0099
Br 0.3797 0.8704 0.5099
Br 0.4009 0.0991 0.2500
Br 0.4632 0.2856 0.7491
Br 0.5368 0.7144 0.2509
Br 0.5991 0.9009 0.7500
Br 0.6202 0.1296 0.4901
Br 0.6296 0.1202 0.9901
Br 0.6577 0.3423 0.2348
Br 0.7144 0.5368 0.7491
Br 0.7467 0.7467 0.0000
Br 0.7533 0.7533 0.5000
Br 0.7856 0.9632 0.2491
Br 0.8423 0.1577 0.7348
Br 0.8704 0.3797 0.4901
Br 0.8798 0.3704 0.9901
Br 0.9009 0.5991 0.2500
Br 0.9632 0.7856 0.7509